The following is a simulated powder X-ray diffraction pattern of Ta4Si. It was derived from a crystal structure in Alexandria, relaxed with PBE, using Cu Kα.
Kinematic intensities with the Lorentz-polarization factor, no thermal factor.

Main lines, sorted by position (2θ from 10° to 90°):
| Position (°2θ) | intensity |
| --- | --- |
| 17.7 | 12 |
| 25.1 | 5 |
| 28.7 | 11 |
| 38.5 | 100 |
| 40.2 | 46 |
| 52.9 | 10 |
| 58.1 | 15 |
| 68.4 | 19 |
| 71.9 | 33 |
| 82.4 | 11 |

Atomic structure:
```
Ta4Si
1.0
7.100 0.000 0.000
0.000 7.100 0.000
0.000 0.000 3.461
Ta Si
8 2
direct
0.094 0.296 0.000
0.204 0.594 0.500
0.296 0.906 0.000
0.406 0.204 0.500
0.594 0.796 0.500
0.704 0.094 0.000
0.796 0.406 0.500
0.906 0.704 0.000
0.000 0.000 0.500
0.500 0.500 0.000
```

***

The following is a simulated powder X-ray diffraction pattern of Ta4Si. It was derived from a crystal structure in Alexandria, relaxed with PBE, using Cu Kα.
Kinematic intensities with the Lorentz-polarization factor, no thermal factor.

Main lines, sorted by position (2θ from 10° to 90°):
| Position (°2θ) | intensity |
| --- | --- |
| 28.2 | 14 |
| 32.1 | 54 |
| 35.7 | 13 |
| 36.8 | 74 |
| 38.7 | 100 |
| 43.2 | 36 |
| 60.3 | 19 |
| 64.9 | 14 |
| 69.3 | 20 |
| 72.7 | 13 |

Atomic structure:
```
Ta4Si
1.0
-2.790 2.790 5.770
2.790 -2.790 5.770
2.790 2.790 -5.770
Ta Si
8 2
direct
0.147 0.807 0.852
0.205 0.353 0.160
0.307 0.955 0.660
0.455 0.295 0.648
0.545 0.705 0.352
0.693 0.045 0.340
0.795 0.647 0.840
0.853 0.193 0.148
0.125 0.375 0.750
0.875 0.625 0.250
```

***

The following is a simulated powder X-ray diffraction pattern of Ta2Si3. It was derived from a crystal structure in Alexandria, relaxed with PBE, using Cu Kα.
Kinematic intensities with the Lorentz-polarization factor, no thermal factor.

Main lines, sorted by position (2θ from 10° to 90°):
| Position (°2θ) | intensity |
| --- | --- |
| 20.7 | 69 |
| 29.4 | 82 |
| 34.2 | 100 |
| 35.2 | 63 |
| 37.3 | 57 |
| 39.4 | 44 |
| 40.3 | 43 |
| 42.0 | 83 |
| 42.2 | 49 |
| 61.2 | 49 |

Atomic structure:
```
Ta2Si3
1.0
0.000 6.089 2.623
4.686 0.000 2.623
4.686 6.089 0.000
Ta Si
4 6
direct
0.124 0.876 0.274
0.524 0.976 0.374
0.876 0.124 0.726
0.976 0.524 0.126
0.108 0.108 0.892
0.358 0.358 0.142
0.439 0.540 0.339
0.540 0.439 0.683
0.567 0.911 0.710
0.911 0.567 0.811
```